Starting from the PBE+U geometry in Alexandria, the X-ray powder pattern of Cs2CaMoO4 was calculated for Cu Kα.
Kinematic intensities with the Lorentz-polarization factor, no thermal factor.

Peak list (12 most intense, 2θ from 15° to 90°, sorted by position)
- 2θ 15.25, I 43, (0 0 4)
- 2θ 19.42, I 100, (1 1 3)
- 2θ 25.57, I 37, (0 4 0)
- 2θ 26.33, I 68, (0 2 6)
- 2θ 26.60, I 54, (1 3 3)
- 2θ 30.80, I 19, (1 3 5)
- 2θ 31.60, I 48, (2 2 0)
- 2θ 37.19, I 35, (2 0 6)
- 2θ 40.94, I 17, (0 2 10)
- 2θ 45.65, I 31, (2 4 6)
- 2θ 49.01, I 28, (2 6 0)
- 2θ 56.04, I 22, (2 4 10)

Crystal structure
```
data_Cs2CaMoO4
_symmetry_space_group_name_H-M 'F d d d'
_symmetry_Int_Tables_number 70
_cell_length_a 6.198
_cell_length_b 13.936
_cell_length_c 23.239
_cell_angle_alpha 90.00
_cell_angle_beta 90.00
_cell_angle_gamma 90.00
loop_
_symmetry_equiv_pos_as_xyz
'x,y,z'
'-x,-y,-z'
'-x+1/4,-y+1/4,z'
'x+1/4,y+1/4,-z'
'x,-y+1/4,-z+1/4'
'-x,y+1/4,z+1/4'
'-x+1/4,y,-z+1/4'
'x+1/4,-y,z+1/4'
'x,y+1/2,z+1/2'
'-x,-y+1/2,-z+1/2'
'-x+1/4,-y+3/4,z+1/2'
'x+1/4,y+3/4,-z+1/2'
'x,-y+3/4,-z+3/4'
'-x,y+3/4,z+3/4'
'-x+1/4,y+1/2,-z+3/4'
'x+1/4,-y+1/2,z+3/4'
'x+1/2,y,z+1/2'
'-x+1/2,-y,-z+1/2'
'-x+3/4,-y+1/4,z+1/2'
'x+3/4,y+1/4,-z+1/2'
'x+1/2,-y+1/4,-z+3/4'
'-x+1/2,y+1/4,z+3/4'
'-x+3/4,y,-z+3/4'
'x+3/4,-y,z+3/4'
'x+1/2,y+1/2,z'
'-x+1/2,-y+1/2,-z'
'-x+3/4,-y+3/4,z'
'x+3/4,y+3/4,-z'
'x+1/2,-y+3/4,-z+1/4'
'-x+1/2,y+3/4,z+1/4'
'-x+3/4,y+1/2,-z+1/4'
'x+3/4,-y+1/2,z+1/4'
loop_
_atom_site_label
_atom_site_type_symbol
_atom_site_fract_x
_atom_site_fract_y
_atom_site_fract_z
Cs1 Cs 0.125 0.125 0.312
Ca1 Ca 0.125 0.125 0.125
Mo1 Mo 0.125 0.125 0.625
O1 O 0.093 0.282 0.857
```